# AcCe2PaAs4
Theoretical powder diffraction line list, Cu Kα. Input: a DFT-relaxed cell (PBE, Alexandria).

Peak list (6 most intense, 2θ from 10° to 90°, by angle)
Position (°2θ)	I_rel
25.5	30.6
29.6	100.0
42.3	75.7
52.4	26.9
69.6	34.5
77.3	25.6

Atomic structure:
```
AcCe2PaAs4
1.0
-3.023 3.023 6.041
3.023 -3.023 6.041
3.023 3.023 -6.041
Ac Ce Pa As
1 2 1 4
Direct
0.000 0.000 0.000 Ac
0.500 0.500 0.000 Ce
0.750 0.250 0.500 Ce
0.250 0.750 0.500 Pa
0.008 0.508 0.500 As
0.257 0.257 0.000 As
0.492 0.992 0.500 As
0.743 0.743 0.000 As
```

# Ac2AsH2Cl
Theoretical powder diffraction line list, Cu Kα. Input: a DFT-relaxed cell (PBE, Alexandria).

Peak list (6 most intense, 2θ from 10° to 90°, by angle)
Position (°2θ)	I_rel
21.8	18.5
26.2	100.0
32.5	47.0
41.0	31.5
41.8	31.8
50.0	18.0

Atomic structure:
```
Ac2AsH2Cl
1.0
4.319 0.000 0.000
-2.160 3.740 0.000
0.000 0.000 8.156
Ac As H Cl
2 1 2 1
Direct
0.333 0.667 0.264 Ac
0.667 0.333 0.736 Ac
0.000 0.000 0.500 As
0.333 0.667 0.775 H
0.667 0.333 0.225 H
0.000 0.000 0.000 Cl
```

# Ac4SiAs2Cl
Theoretical powder diffraction line list, Cu Kα. Input: a DFT-relaxed cell (PBE, Alexandria).

Peak list (6 most intense, 2θ from 10° to 90°, by angle)
Position (°2θ)	I_rel
24.1	100.0
27.8	49.9
28.0	99.8
39.9	76.7
40.0	38.7
49.4	41.6

Atomic structure:
```
Ac4SiAs2Cl
1.0
-3.185 3.185 6.425
3.185 -3.185 6.425
3.185 3.185 -6.425
Ac Si As Cl
4 1 2 1
Direct
0.000 0.500 0.500 Ac
0.241 0.241 0.000 Ac
0.500 0.000 0.500 Ac
0.759 0.759 0.000 Ac
0.000 0.000 0.000 Si
0.250 0.750 0.500 As
0.750 0.250 0.500 As
0.500 0.500 0.000 Cl
```

# AcCoAs2
Theoretical powder diffraction line list, Cu Kα. Input: a DFT-relaxed cell (PBE, Alexandria).

Peak list (6 most intense, 2θ from 10° to 90°, by angle)
Position (°2θ)	I_rel
22.0	54.0
30.6	100.0
35.2	59.7
35.5	57.6
37.3	24.7
44.1	49.0

Atomic structure:
```
AcCoAs2
1.0
0.000 10.415 2.922
2.890 0.000 2.922
2.890 10.415 0.000
Ac Co As
2 2 4
Direct
0.121 0.879 0.121 Ac
0.879 0.121 0.879 Ac
0.251 0.251 0.249 Co
0.751 0.751 0.749 Co
0.052 0.495 0.948 As
0.308 0.693 0.307 As
0.495 0.052 0.505 As
0.693 0.308 0.692 As
```